[1]
This entry pairs a crystal structure of MgAl5S8 with its computed powder XRD pattern. Radiation: copper Kα. Structure: a structure optimized by DFT (PBE).
No peak broadening, texture or thermal motion is included.

Cell and atoms:
```
14
Lattice="0.0000 5.0809 5.0809 5.0809 0.0000 5.0809 5.0809 5.0809 0.0000" Properties=species:S:1:pos:R:3 pbc="T T T"
Mg 0.0000 0.0000 0.0000
Al 3.7794 3.7794 3.7794
Al 6.3824 6.3824 3.7794
Al 6.3824 3.7794 6.3824
Al 7.6213 7.6213 7.6213
Al 3.7794 6.3824 6.3824
S 1.3802 1.3802 1.3802
S 3.7007 3.7007 1.3802
S 3.7007 1.3802 3.7007
S 6.2734 3.8884 3.8884
S 1.3802 3.7007 3.7007
S 3.8884 6.2734 3.8884
S 3.8884 3.8884 6.2734
S 6.2734 6.2734 6.2734
```

Principal peaks in the range 2θ = 10–80°, low angle first:
- 15.1°, rel. 19.5
- 24.8°, rel. 15.7
- 29.1°, rel. 44.0
- 30.5°, rel. 44.4
- 35.3°, rel. 89.3
- 46.4°, rel. 33.9
- 50.8°, rel. 100.0
- 60.4°, rel. 11.0
- 63.4°, rel. 17.1
- 74.7°, rel. 14.4



[2]
This entry pairs a crystal structure of Mg2AlS4 with its computed powder XRD pattern. Radiation: copper Kα. Structure: a structure optimized by DFT (PBE).
No peak broadening, texture or thermal motion is included.

Cell and atoms:
```
14
Lattice="1.7183 -6.1546 0.0000 1.7183 6.1546 0.0000 0.0000 0.0000 12.1182" Properties=species:S:1:pos:R:3 pbc="T T T"
Mg 1.7183 4.5863 6.9404
Mg 1.7183 4.5863 11.2370
Mg 1.7183 -4.5863 0.8812
Mg 1.7183 -4.5863 5.1779
Al 1.7183 1.5697 9.0887
Al 1.7183 -1.5697 3.0296
S 1.7183 6.0423 9.0887
S 1.7183 3.4342 1.5072
S 1.7183 3.4342 4.5519
S 1.7183 0.0000 0.0000
S 1.7183 0.0000 6.0591
S 1.7183 -3.4342 7.5663
S 1.7183 -3.4342 10.6110
S 1.7183 -6.0423 3.0296
```

Principal peaks in the range 2θ = 10–80°, low angle first:
- 26.4°, rel. 34.8
- 33.0°, rel. 98.0
- 34.8°, rel. 63.8
- 37.2°, rel. 100.0
- 45.6°, rel. 18.1
- 46.4°, rel. 37.9
- 47.9°, rel. 41.2
- 49.9°, rel. 29.2
- 53.3°, rel. 30.2
- 64.1°, rel. 23.5



[3]
This entry pairs a crystal structure of Mg2AlS2 with its computed powder XRD pattern. Radiation: copper Kα. Structure: a structure optimized by DFT (PBE).
No peak broadening, texture or thermal motion is included.

Cell and atoms:
```
10
Lattice="7.2521 0.0000 0.0000 0.0000 7.2521 0.0000 0.0000 0.0000 3.4431" Properties=species:S:1:pos:R:3 pbc="T T T"
Mg 1.1120 2.5141 0.0000
Mg 2.5141 6.1401 0.0000
Mg 4.7380 1.1120 0.0000
Mg 6.1401 4.7380 0.0000
Al 0.0000 0.0000 1.7216
Al 3.6260 3.6260 1.7216
S 1.1384 4.7645 1.7216
S 2.4876 1.1384 1.7216
S 4.7645 6.1137 1.7216
S 6.1137 2.4876 1.7216
```

Principal peaks in the range 2θ = 10–80°, low angle first:
- 25.9°, rel. 8.8
- 35.0°, rel. 7.5
- 38.1°, rel. 100.0
- 39.3°, rel. 46.9
- 47.6°, rel. 6.9
- 53.2°, rel. 11.4
- 53.6°, rel. 7.4
- 59.0°, rel. 14.0
- 68.1°, rel. 17.0
- 75.9°, rel. 16.6



[4]
This entry pairs a crystal structure of TbMgAlS4 with its computed powder XRD pattern. Radiation: copper Kα. Structure: a structure optimized by DFT (PBE).
No peak broadening, texture or thermal motion is included.

Cell and atoms:
```
14
Lattice="-3.7847 3.7941 5.3378 3.7847 -3.7941 5.3378 3.7847 3.7941 -5.3378" Properties=species:S:1:pos:R:3 pbc="T T T"
Tb 0.0000 0.0000 0.0000
Tb 0.0000 3.7941 0.0000
Mg -1.8923 1.8970 2.6689
Mg 1.8923 1.8970 2.6689
Al 3.7847 1.8970 -1.3850
Al 0.0000 1.8970 6.7228
S 1.9498 1.8970 0.0242
S 3.7847 0.0530 2.6123
S 5.6195 1.8970 0.0242
S 0.0000 0.0530 2.7255
S 3.7847 3.7411 2.6123
S -1.8348 1.8970 5.3136
S 0.0000 3.7411 2.7255
S 1.8348 1.8970 5.3136
```

Principal peaks in the range 2θ = 10–80°, low angle first:
- 14.3°, rel. 100.0
- 16.6°, rel. 34.5
- 23.5°, rel. 36.2
- 27.6°, rel. 85.5
- 27.7°, rel. 40.9
- 33.4°, rel. 62.9
- 33.6°, rel. 31.1
- 36.6°, rel. 38.0
- 44.0°, rel. 23.2
- 48.1°, rel. 75.3



[5]
This entry pairs a crystal structure of Mg2TiAl3S8 with its computed powder XRD pattern. Radiation: copper Kα. Structure: a structure optimized by DFT (PBE).
No peak broadening, texture or thermal motion is included.

Cell and atoms:
```
14
Lattice="3.6320 2.0969 5.9612 -3.6320 2.0969 5.9612 0.0000 -4.1939 5.9612" Properties=species:S:1:pos:R:3 pbc="T T T"
Mg 0.0000 0.0000 2.2439
Mg 0.0000 0.0000 15.6398
Ti 0.0000 0.0000 8.9418
Al -1.8160 -1.0485 5.9612
Al -1.8160 1.0485 11.9224
Al 0.0000 2.0969 5.9612
S 0.0000 -1.9174 7.3489
S -1.6605 0.9587 7.3489
S 0.0000 0.0000 4.6916
S -1.6605 -0.9587 10.5348
S 1.6605 0.9587 7.3489
S 0.0000 0.0000 13.1921
S 1.6605 -0.9587 10.5348
S 0.0000 1.9174 10.5348
```

Principal peaks in the range 2θ = 10–80°, low angle first:
- 14.9°, rel. 40.6
- 24.5°, rel. 17.6
- 28.8°, rel. 49.0
- 30.1°, rel. 24.2
- 34.9°, rel. 100.0
- 45.8°, rel. 35.3
- 50.1°, rel. 52.3
- 50.2°, rel. 53.6
- 62.6°, rel. 14.0
- 73.6°, rel. 14.4



[6]
This entry pairs a crystal structure of Mg2Al3VS8 with its computed powder XRD pattern. Radiation: copper Kα. Structure: a structure optimized by DFT (PBE).
No peak broadening, texture or thermal motion is included.

Cell and atoms:
```
14
Lattice="3.6180 2.0888 5.9337 -3.6180 2.0888 5.9337 0.0000 -4.1777 5.9337" Properties=species:S:1:pos:R:3 pbc="T T T"
Mg 0.0000 0.0000 2.2308
Mg 0.0000 0.0000 15.5704
Al -1.8090 -1.0444 5.9337
Al -1.8090 1.0444 11.8674
Al 0.0000 2.0888 5.9337
V 0.0000 0.0000 8.9006
S 0.0000 -1.8916 7.3358
S -1.6381 0.9458 7.3358
S 0.0000 0.0000 4.6671
S -1.6381 -0.9458 10.4653
S 1.6381 0.9458 7.3358
S 0.0000 0.0000 13.1340
S 1.6381 -0.9458 10.4653
S 0.0000 1.8916 10.4653
```

Principal peaks in the range 2θ = 10–80°, low angle first:
- 15.0°, rel. 45.1
- 24.6°, rel. 18.3
- 28.9°, rel. 55.0
- 30.2°, rel. 22.4
- 35.0°, rel. 100.0
- 46.0°, rel. 38.5
- 50.3°, rel. 52.6
- 50.4°, rel. 52.6
- 62.9°, rel. 13.7
- 74.0°, rel. 14.3



[7]
This entry pairs a crystal structure of MgAlWS4 with its computed powder XRD pattern. Radiation: copper Kα. Structure: a structure optimized by DFT (PBE).
No peak broadening, texture or thermal motion is included.

Cell and atoms:
```
14
Lattice="-3.4365 3.6690 5.3361 3.4365 -3.6690 5.3361 3.4365 3.6690 -5.3361" Properties=species:S:1:pos:R:3 pbc="T T T"
Mg 0.0000 0.0000 0.0000
Mg 0.0000 3.6690 2.7289
Al 3.4365 1.7583 1.6222
Al 0.0000 1.9107 6.9583
W 2.0709 3.6690 -1.1680
W 1.3655 0.0000 4.1681
S 3.4365 1.7305 -0.8704
S 3.4365 -1.6053 4.0102
S 1.7503 0.0000 1.7227
S 5.1227 0.0000 1.7227
S 3.4365 1.6053 4.0102
S 1.9102 3.6690 1.2815
S 1.5263 0.0000 6.6176
S 0.0000 1.9385 4.4657
```

Principal peaks in the range 2θ = 10–80°, low angle first:
- 14.6°, rel. 100.0
- 16.6°, rel. 28.7
- 24.3°, rel. 23.5
- 27.9°, rel. 22.2
- 29.9°, rel. 34.2
- 33.6°, rel. 19.8
- 35.8°, rel. 27.9
- 44.2°, rel. 12.3
- 46.4°, rel. 12.0
- 49.9°, rel. 25.8



[8]
This entry pairs a crystal structure of MgAl2Sb2 with its computed powder XRD pattern. Radiation: copper Kα. Structure: a structure optimized by DFT (PBE).
No peak broadening, texture or thermal motion is included.

Cell and atoms:
```
5
Lattice="4.9414 0.0000 0.0000 -2.4707 4.2794 0.0000 0.0000 0.0000 5.8446" Properties=species:S:1:pos:R:3 pbc="T T T"
Mg 0.0000 0.0000 0.0000
Al 0.0000 2.8529 4.3352
Al 2.4707 1.4264 1.5093
Sb 0.0000 2.8529 1.4654
Sb 2.4707 1.4264 4.3792
```

Principal peaks in the range 2θ = 10–80°, low angle first:
- 20.8°, rel. 47.8
- 25.8°, rel. 100.0
- 30.6°, rel. 29.2
- 36.4°, rel. 77.9
- 37.3°, rel. 42.4
- 45.1°, rel. 22.2
- 48.2°, rel. 48.5
- 59.3°, rel. 19.4
- 66.0°, rel. 15.3
- 75.6°, rel. 17.6